For Li4V3OF11, a PBE+U-relaxed structure gives the theoretical powder diffraction line list in this record (a wavelength of 1.5418 Å).
No peak broadening, texture or thermal motion is included.

Crystal structure
```
38
Lattice="5.1950 0.0000 0.0000 0.1748 5.4750 0.0000 0.1376 2.6615 16.1496" Properties=species:S:1:pos:R:3 pbc="T T T"
Li 0.0000 0.0000 0.0000
Li 0.2120 3.2474 1.9759
Li 1.6055 4.3034 5.9729
Li 1.9604 4.6299 11.4649
Li 2.6872 0.7254 1.8864
Li 3.0790 5.5714 16.0844
Li 4.3191 1.9078 6.3885
Li 4.6681 6.9887 11.7243
V 0.2920 5.8095 14.3577
V 0.2000 3.0913 8.9362
V 0.2707 5.8359 3.5416
V 2.7682 3.1127 14.3575
V 2.8860 5.8184 8.8877
V 2.7829 3.0517 3.5442
O 1.3820 4.1473 3.8142
O 4.2174 1.9479 3.0395
F 0.7449 5.7100 12.3792
F 0.6658 3.0175 7.0390
F 0.9857 5.6612 1.6737
F 1.1410 4.0364 15.0899
F 1.2844 6.8661 9.2901
F 1.8390 4.1652 9.5188
F 1.7876 1.4000 3.9530
F 2.0149 6.9346 15.0440
F 2.0900 2.7553 1.6352
F 2.2201 3.0869 12.5604
F 2.3785 5.6099 7.0699
F 3.3485 5.9446 10.7808
F 3.3045 3.1935 5.3907
F 3.3959 0.7020 0.0707
F 3.6056 4.8945 14.1374
F 3.7788 1.9959 8.2984
F 3.8913 4.6521 2.8538
F 4.5954 7.6173 13.8096
F 4.5118 4.7943 8.5528
F 4.7236 3.5673 0.1903
F 4.8220 3.0836 10.7470
F 5.0437 5.8468 5.4028
```

The 6 most intense peaks (2θ = 10–90°), low angle first:
| 2θ (°) | d [Å] | intensity |
| --- | --- | --- |
| 16.47 | 5.383 | 100 |
| 24.68 | 3.608 | 80 |
| 25.36 | 3.513 | 41 |
| 25.44 | 3.501 | 37 |
| 48.51 | 1.877 | 20 |
| 49.09 | 1.856 | 22 |